Starting from a DFT-relaxed cell (GGA-PBE, Alexandria), the PXRD pattern of NdAl3Br12 was computed for Cu Kα.
Intensities are scaled so that the largest is 100.

Structural model:
```
NdAl3Br12
1.0
11.153 0.000 0.000
-5.576 9.658 0.000
0.000 0.000 18.932
Nd Al Br
3 9 36
Direct
0.000 0.753 0.167
0.247 0.247 0.500
0.753 0.000 0.833
0.000 0.073 0.667
0.073 0.000 0.333
0.286 0.663 0.233
0.337 0.623 0.566
0.377 0.714 0.899
0.623 0.337 0.434
0.663 0.286 0.767
0.714 0.377 0.101
0.927 0.927 0.000
0.039 0.208 0.768
0.050 0.187 0.368
0.069 0.620 0.283
0.138 0.950 0.035
0.169 0.961 0.434
0.187 0.050 0.632
0.189 0.730 0.867
0.197 0.661 0.638
0.208 0.039 0.232
0.212 0.492 0.465
0.270 0.460 0.200
0.281 0.788 0.131
0.339 0.536 0.972
0.380 0.449 0.617
0.449 0.380 0.383
0.460 0.270 0.800
0.464 0.803 0.305
0.492 0.212 0.535
0.508 0.719 0.798
0.536 0.339 0.028
0.540 0.811 0.534
0.551 0.931 0.950
0.620 0.069 0.717
0.661 0.197 0.362
0.719 0.508 0.202
0.730 0.189 0.133
0.788 0.281 0.869
0.792 0.831 0.101
0.803 0.464 0.695
0.811 0.540 0.466
0.813 0.862 0.702
0.831 0.792 0.899
0.862 0.813 0.298
0.931 0.551 0.050
0.950 0.138 0.965
0.961 0.169 0.566
```

Peak list (10 most intense, 10 to 90 degrees two-theta, in order of rising 2θ)
d_spacing	Position (°2θ)	I/Imax	hkl
8.604	10.28	100.0	0 1 1
6.761	13.10	25.6	1 0 2
5.576	15.89	19.0	1 1 0
3.835	23.19	20.4	0 2 3
3.585	24.84	22.6	1 2 1
3.380	26.37	19.9	2 0 4
3.160	28.24	42.5	1 2 3
3.048	29.30	17.9	0 3 2
2.980	29.99	27.7	0 2 5
2.675	33.49	26.2	2 2 2